# Pb3IF5
Calculated X-ray diffraction stick pattern, λ = 1.5418 Å (Cu Kα). Input: a cell relaxed with GGA-PBE.
Kinematic intensities with the Lorentz-polarization factor, no thermal factor.

Top 12 peaks for 2θ = 10–90°, low angle first:
Position (°2θ)  I_rel
24.13  21
25.03  78
26.53  65
28.49  54
30.87  100
31.28  34
41.74  58
41.92  30
43.02  23
46.54  20
53.07  31
57.91  16

Cell and atoms:
a = 4.310 Å, b = 7.507 Å, c = 22.877 Å
α = 90.00°, β = 90.00°, γ = 90.00°
Space group Cmc2_1 (No. 36)
Inequivalent atoms, fractional coordinates:
Pb (0.000, 0.004, 0.000)
Pb (0.000, 0.325, 0.374)
Pb (0.000, 0.327, 0.155)
I (0.000, 0.342, 0.754)
F (0.000, 0.003, 0.884)
F (0.000, 0.006, 0.628)
F (0.000, 0.329, 0.053)
F (0.000, 0.333, 0.481)
F (0.000, 0.333, 0.923)